Entry 1:
Diffraction record for AcLu3. The powder XRD pattern is theoretical, not measured: it uses a structure optimized by DFT (GGA-PBE) and Cu Kα X-rays.

Structure:
a = 5.0890 Å, b = 5.0890 Å, c = 5.0890 Å
α = 90.00°, β = 90.00°, γ = 90.00°
Space group Pm-3m (No. 221)
One atom of each set of equivalent atoms:
Ac1 0.0000 0.0000 0.0000 x1
Lu1 0.0000 0.5000 0.5000 x3

The 8 most intense peaks (2θ = 5–70°), sorted by position:
hkl  2θ (°)  I/Imax
1 0 0  17.43  1
1 1 0  24.74  1
1 1 1  30.42  100
2 0 0  35.27  51
2 1 0  39.60  1
2 2 0  50.74  37
3 1 1  60.32  44
2 2 2  63.31  13

=====

Entry 2:
Diffraction record for Bi2RuO6. The powder XRD pattern is theoretical, not measured: it uses a structure optimized by DFT (GGA-PBE) and Cu Kα X-rays.

Structure:
a = 5.0523 Å, b = 5.0523 Å, c = 10.1803 Å
α = 90.00°, β = 90.00°, γ = 90.00°
Space group P4_2/mnm (No. 136)
One atom of each set of equivalent atoms:
Bi1 0.0000 0.0000 0.1676 x4
Ru1 0.0000 0.0000 0.5000 x2
O1 0.1817 0.1817 0.3526 x8
O2 0.2280 0.2280 0.0000 x4

The 10 most intense peaks (2θ = 5–70°), sorted by position:
hkl  2θ (°)  I/Imax
1 0 1  19.62  9
1 1 0  24.92  100
1 0 3  31.77  91
2 0 0  35.54  28
2 1 3  48.40  70
2 2 0  51.14  17
3 1 0  57.70  18
1 1 6  60.40  17
3 0 3  61.47  20
2 0 6  66.37  11

=====

Entry 3:
Diffraction record for BaLa4Cu5O12. The powder XRD pattern is theoretical, not measured: it uses a structure optimized by DFT (GGA-PBE) and Cu Kα X-rays.

Structure:
a = 8.7086 Å, b = 8.7086 Å, c = 3.8888 Å
α = 90.00°, β = 90.00°, γ = 90.00°
Space group P4/m (No. 83)
One atom of each set of equivalent atoms:
Ba1 0.0000 0.0000 0.0000 x1
La1 0.2006 0.3729 0.0000 x4
Cu1 0.0939 0.6652 0.5000 x4
Cu2 0.5000 0.5000 0.5000 x1
O1 0.0903 0.6539 0.0000 x4
O2 0.1046 0.2349 0.5000 x4
O3 0.2846 0.5493 0.5000 x4

The 10 most intense peaks (2θ = 5–70°), sorted by position:
hkl  2θ (°)  I/Imax
1 2 0  22.84  11
3 0 0  30.82  3
1 2 1  32.53  100
2 3 0  37.24  5
3 1 1  40.12  11
1 4 0  42.81  3
0 0 2  46.67  25
1 2 2  52.57  6
3 1 2  58.04  35
2 4 2  68.14  12

=====

Entry 4:
Diffraction record for Cs2Tl6Pt3. The powder XRD pattern is theoretical, not measured: it uses a structure optimized by DFT (GGA-PBE) and Cu Kα X-rays.

Structure:
a = 8.9369 Å, b = 8.9369 Å, c = 4.9655 Å
α = 90.00°, β = 90.00°, γ = 120.00°
Space group P-62m (No. 189)
One atom of each set of equivalent atoms:
Cs1 0.3333 0.6667 0.0000 x2
Tl1 0.0000 0.2054 0.0000 x3
Tl2 0.0000 0.6714 0.5000 x3
Pt1 0.0000 0.3479 0.5000 x3

The 10 most intense peaks (2θ = 5–70°), sorted by position:
hkl  2θ (°)  I/Imax
1 1 0  19.87  30
1 1 1  26.84  100
2 1 0  30.56  26
3 0 0  34.77  63
2 1 1  35.62  60
0 0 2  36.18  45
3 0 1  39.36  52
3 0 2  51.05  43
4 1 1  57.65  47
3 3 1  65.42  18

=====

Entry 5:
Diffraction record for Mg15C. The powder XRD pattern is theoretical, not measured: it uses a structure optimized by DFT (GGA-PBE) and Cu Kα X-rays.

Structure:
a = 6.2857 Å, b = 6.2857 Å, c = 9.9763 Å
α = 90.00°, β = 90.00°, γ = 120.00°
Space group P-6m2 (No. 187)
One atom of each set of equivalent atoms:
Mg1 0.0000 0.0000 0.0000 x1
Mg2 0.0059 0.5029 0.0000 x3
Mg3 0.1602 0.3203 0.2709 x6
Mg4 0.5050 0.0100 0.5000 x3
Mg5 0.6667 0.3333 0.2476 x2
C1 0.0000 0.0000 0.5000 x1

The 10 most intense peaks (2θ = 5–70°), sorted by position:
hkl  2θ (°)  I/Imax
0 0 3  26.81  2
1 0 3  31.53  2
2 0 0  32.91  25
0 0 4  36.01  23
2 0 2  37.65  100
2 0 4  49.57  13
2 0 5  57.25  2
2 2 0  58.76  17
2 0 6  65.81  15
4 0 0  69.01  3

=====

Entry 6:
Diffraction record for SmCuBi2. The powder XRD pattern is theoretical, not measured: it uses a structure optimized by DFT (GGA-PBE) and Cu Kα X-rays.

Structure:
a = 4.8542 Å, b = 4.8542 Å, c = 4.4015 Å
α = 90.00°, β = 90.00°, γ = 90.00°
Space group P4/mmm (No. 123)
One atom of each set of equivalent atoms:
Sm1 0.0000 0.0000 0.0000 x1
Cu1 0.5000 0.5000 0.0000 x1
Bi1 0.0000 0.5000 0.5000 x2

The 10 most intense peaks (2θ = 5–70°), sorted by position:
hkl  2θ (°)  I/Imax
0 0 1  20.17  8
1 1 0  25.96  8
1 1 1  33.10  100
2 0 0  37.04  37
0 0 2  41.01  14
2 2 0  53.38  13
2 0 2  56.44  22
3 1 1  64.27  30
2 2 2  69.45  12
1 1 3  69.70  12

=====

Entry 7:
Diffraction record for SrInGaO4. The powder XRD pattern is theoretical, not measured: it uses a structure optimized by DFT (GGA-PBE) and Cu Kα X-rays.

Structure:
a = 5.6899 Å, b = 5.7731 Å, c = 6.7613 Å
α = 90.00°, β = 107.89°, γ = 90.00°
Space group P2_1/m (No. 11)
One atom of each set of equivalent atoms:
Sr1 0.2282 0.2500 0.4442 x2
In1 0.3154 0.2500 0.9611 x2
Ga1 0.2253 0.7500 0.1637 x2
O1 0.0091 0.2500 0.0898 x2
O2 0.0251 0.7500 0.3334 x2
O3 0.4736 0.5173 0.2070 x4

The 10 most intense peaks (2θ = 5–70°), sorted by position:
hkl  2θ (°)  I/Imax
0 0 1  13.76  63
1 1 0  22.51  82
1 0 1  24.52  39
0 2 0  30.98  100
1 1 -2  31.69  64
0 1 2  31.84  52
2 1 -1  35.37  43
2 1 -2  39.54  66
1 1 2  39.91  84
2 2 0  45.96  46